(1)
The following is a simulated XRD peak list of Rb3NaNb. It was derived from DFT lattice parameters and positions (GGA-PBE), using CuKα.

Atomic structure:
```
data_Rb3NaNb
_chemical_formula_sum 'Rb3 Na1 Nb1'
_cell_length_a 7.1416
_cell_length_b 7.1416
_cell_length_c 7.1416
_cell_angle_alpha 90.00
_cell_angle_beta 90.00
_cell_angle_gamma 90.00
_space_group_name_H-M_alt 'P m -3 m'
_space_group_IT_number 221
_space_group_name_Hall '-P 4 2 3'
loop_
_atom_site_label
_atom_site_type_symbol
_atom_site_fract_x
_atom_site_fract_y
_atom_site_fract_z
_atom_site_occupancy
Rb1 Rb 0.0000 0.0000 0.5000 1
Na1 Na 0.5000 0.5000 0.5000 1
Nb1 Nb 0.0000 0.0000 0.0000 1
```

Largest 10 diffraction maxima, in order of rising 2θ, 10 to 90 degrees two-theta:
- 7.142 Å, intensity 87.1, hkl 1 0 0
- 4.123 Å, intensity 46.6, hkl 1 1 1
- 3.571 Å, intensity 100.0, hkl 2 0 0
- 3.194 Å, intensity 51.5, hkl 2 1 0
- 2.525 Å, intensity 77.9, hkl 2 2 0
- 2.381 Å, intensity 28.2, hkl 3 0 0
- 2.153 Å, intensity 23.8, hkl 3 1 1
- 2.062 Å, intensity 28.2, hkl 2 2 2
- 1.597 Å, intensity 36.9, hkl 4 2 0
- 1.458 Å, intensity 27.1, hkl 4 2 2

(2)
The following is a simulated XRD peak list of NaNb4Rh2. It was derived from DFT lattice parameters and positions (GGA-PBE), using CuKα.

Atomic structure:
```
data_NaNb4Rh2
_chemical_formula_sum 'Na2 Nb8 Rh4'
_cell_length_a 4.5918
_cell_length_b 4.5918
_cell_length_c 13.1640
_cell_angle_alpha 90.00
_cell_angle_beta 90.00
_cell_angle_gamma 90.00
_space_group_name_H-M_alt 'I 4/m m m'
_space_group_IT_number 139
_space_group_name_Hall '-I 4 2'
loop_
_atom_site_label
_atom_site_type_symbol
_atom_site_fract_x
_atom_site_fract_y
_atom_site_fract_z
_atom_site_occupancy
Na1 Na 0.0000 0.0000 0.0000 1
Nb1 Nb 0.0000 0.0000 0.2038 1
Nb2 Nb 0.0000 0.5000 0.0000 1
Rh1 Rh 0.0000 0.0000 0.3858 1
```

Largest 10 diffraction maxima, in order of rising 2θ, 10 to 90 degrees two-theta:
- 4.336 Å, intensity 18.3, hkl 1 0 1
- 3.247 Å, intensity 38.5, hkl 1 1 0
- 2.912 Å, intensity 91.7, hkl 1 1 2
- 2.311 Å, intensity 46.2, hkl 1 1 4
- 2.296 Å, intensity 100.0, hkl 2 0 0
- 2.284 Å, intensity 84.6, hkl 1 0 5
- 1.623 Å, intensity 33.2, hkl 2 2 0
- 1.619 Å, intensity 56.5, hkl 2 1 5
- 1.418 Å, intensity 19.5, hkl 3 1 2
- 1.146 Å, intensity 17.6, hkl 3 2 5

(3)
The following is a simulated XRD peak list of Na2Nb4S7. It was derived from DFT lattice parameters and positions (GGA-PBE), using CuKα.

Atomic structure:
```
data_Na2Nb4S7
_chemical_formula_sum 'Na2 Nb4 S7'
_cell_length_a 6.0927
_cell_length_b 6.0927
_cell_length_c 7.8224
_cell_angle_alpha 90.00
_cell_angle_beta 90.00
_cell_angle_gamma 120.00
_space_group_name_H-M_alt 'P -3 1 m'
_space_group_IT_number 162
_space_group_name_Hall '-P 3 2'
loop_
_atom_site_label
_atom_site_type_symbol
_atom_site_fract_x
_atom_site_fract_y
_atom_site_fract_z
_atom_site_occupancy
Na1 Na 0.3333 0.6667 0.0000 1
Nb1 Nb 0.0000 0.0000 0.3206 1
Nb2 Nb 0.3333 0.6667 0.5000 1
S1 S 0.0000 0.0000 0.0000 1
S2 S 0.0000 0.3946 0.2808 1
```

Largest 10 diffraction maxima, in order of rising 2θ, 10 to 90 degrees two-theta:
- 7.822 Å, intensity 100.0, hkl 0 0 1
- 3.142 Å, intensity 38.0, hkl 1 0 2
- 3.046 Å, intensity 84.6, hkl 1 1 0
- 2.839 Å, intensity 50.4, hkl 1 1 1
- 2.403 Å, intensity 35.1, hkl 1 1 2
- 2.338 Å, intensity 40.9, hkl 1 0 3
- 2.187 Å, intensity 41.0, hkl 2 0 2
- 1.855 Å, intensity 32.0, hkl 2 0 3
- 1.759 Å, intensity 38.4, hkl 3 0 0
- 1.584 Å, intensity 27.9, hkl 3 -1 3

(4)
The following is a simulated XRD peak list of NaNbS6. It was derived from DFT lattice parameters and positions (GGA-PBE), using CuKα.

Atomic structure:
```
data_NaNbS6
_chemical_formula_sum 'Na4 Nb4 S24'
_cell_length_a 7.6572
_cell_length_b 13.0533
_cell_length_c 7.2692
_cell_angle_alpha 90.00
_cell_angle_beta 97.55
_cell_angle_gamma 90.00
_space_group_name_H-M_alt 'C 1 c 1'
_space_group_IT_number 9
loop_
_space_group_symop_operation_xyz
'x,y,z'
'x,-y,z+1/2'
'x+1/2,y+1/2,z'
'x+1/2,-y+1/2,z+1/2'
loop_
_atom_site_label
_atom_site_type_symbol
_atom_site_fract_x
_atom_site_fract_y
_atom_site_fract_z
_atom_site_occupancy
Na1 Na 0.0000 0.1697 0.0000 1
Nb1 Nb 0.0111 0.4858 0.2497 1
S1 S 0.1080 0.3655 0.5176 1
S2 S 0.1595 0.3915 0.0054 1
S3 S 0.2633 0.0252 0.4645 1
S4 S 0.3153 0.1374 0.2786 1
S5 S 0.3333 0.4694 0.1967 1
S6 S 0.4089 0.1927 0.8274 1
```

Largest 10 diffraction maxima, in order of rising 2θ, 10 to 90 degrees two-theta:
- 6.551 Å, intensity 100.0, hkl 1 1 0
- 3.017 Å, intensity 10.5, hkl 1 1 2
- 2.696 Å, intensity 9.3, hkl 1 3 -2
- 2.576 Å, intensity 11.1, hkl 2 2 -2
- 2.419 Å, intensity 6.0, hkl 0 4 2
- 2.187 Å, intensity 10.2, hkl 3 3 0
- 2.180 Å, intensity 7.2, hkl 3 1 -2
- 2.127 Å, intensity 6.9, hkl 2 4 -2
- 2.081 Å, intensity 6.6, hkl 0 6 1
- 1.997 Å, intensity 7.0, hkl 1 5 2

(5)
The following is a simulated XRD peak list of Na3Tm3NbS8. It was derived from DFT lattice parameters and positions (GGA-PBE), using CuKα.

Atomic structure:
```
data_Na3Tm3NbS8
_chemical_formula_sum 'Na9 Tm9 Nb3 S24'
_cell_length_a 7.6900
_cell_length_b 7.6900
_cell_length_c 20.3139
_cell_angle_alpha 90.00
_cell_angle_beta 90.00
_cell_angle_gamma 120.00
_space_group_name_H-M_alt 'R -3 m'
_space_group_IT_number 166
_space_group_name_Hall '-R 3 2"'
loop_
_atom_site_label
_atom_site_type_symbol
_atom_site_fract_x
_atom_site_fract_y
_atom_site_fract_z
_atom_site_occupancy
Na1 Na 0.0000 0.5000 0.0000 1
Tm1 Tm 0.0000 0.5000 0.5000 1
Nb1 Nb 0.0000 0.0000 0.5000 1
S1 S 0.0000 0.0000 0.2418 1
S2 S 0.0184 0.5092 0.2380 1
```

Largest 10 diffraction maxima, in order of rising 2θ, 10 to 90 degrees two-theta:
- 6.771 Å, intensity 100.0, hkl 0 0 3
- 3.286 Å, intensity 40.9, hkl 0 2 1
- 3.164 Å, intensity 23.7, hkl 2 0 2
- 2.785 Å, intensity 89.1, hkl 0 2 4
- 2.575 Å, intensity 15.9, hkl 2 0 5
- 2.188 Å, intensity 21.7, hkl 0 2 7
- 2.019 Å, intensity 32.0, hkl 2 0 8
- 1.922 Å, intensity 29.5, hkl 2 2 0
- 1.849 Å, intensity 21.0, hkl 2 2 3
- 1.582 Å, intensity 15.5, hkl 4 0 4

What is the formula in the first record?
Rb3NaNb